[1]
This entry pairs a crystal structure of PrGd4Se4O4 with its simulated XRD peak list. Radiation: Cu Kα X-rays. Structure: a cell relaxed with GGA-PBE.

Crystal structure
```
PrGd4Se4O4
1.0
7.850 -1.929 0.000
7.850 1.929 0.000
-5.146 0.000 9.336
Pr Gd Se O
1 4 4 4
Direct
0.000 0.000 0.000
0.218 0.218 0.340
0.475 0.475 0.662
0.525 0.525 0.338
0.782 0.782 0.660
0.111 0.111 0.622
0.341 0.341 0.924
0.659 0.659 0.076
0.889 0.889 0.378
0.047 0.047 0.246
0.317 0.317 0.581
0.683 0.683 0.419
0.953 0.953 0.754
```

Principal peaks in the range 2θ from 10° to 80°, sorted by position:
- d = 7.540 Å, 11.7°, I 38.7
- d = 3.112 Å, 28.7°, I 59.8
- d = 2.941 Å, 30.4°, I 100.0
- d = 2.738 Å, 32.7°, I 14.9
- d = 2.592 Å, 34.6°, I 82.2
- d = 2.579 Å, 34.8°, I 24.3
- d = 2.526 Å, 35.5°, I 29.6
- d = 1.929 Å, 47.1°, I 24.2
- d = 1.861 Å, 49.0°, I 13.5
- d = 1.750 Å, 52.3°, I 15.2
- d = 1.639 Å, 56.1°, I 17.3
- d = 1.604 Å, 57.4°, I 12.9



[2]
This entry pairs a crystal structure of Na2ZnNiAs2 with its simulated XRD peak list. Radiation: Cu Kα X-rays. Structure: a cell relaxed with GGA-PBE.

Crystal structure
```
Na2ZnNiAs2
1.0
4.038 0.000 0.000
0.000 4.038 0.000
0.000 0.000 6.907
Na Zn Ni As
2 1 1 2
Direct
0.000 0.500 0.152
0.500 0.000 0.848
0.000 0.000 0.500
0.500 0.500 0.500
0.000 0.500 0.713
0.500 0.000 0.287
```

Principal peaks in the range 2θ from 10° to 80°, sorted by position:
- d = 6.907 Å, 12.8°, I 100.0
- d = 3.486 Å, 25.6°, I 47.5
- d = 2.639 Å, 34.0°, I 31.0
- d = 2.625 Å, 34.2°, I 24.3
- d = 2.201 Å, 41.0°, I 91.9
- d = 2.019 Å, 44.9°, I 48.0
- d = 2.000 Å, 45.3°, I 14.2
- d = 1.938 Å, 46.9°, I 15.1
- d = 1.792 Å, 51.0°, I 20.3
- d = 1.747 Å, 52.4°, I 13.2
- d = 1.600 Å, 57.6°, I 10.2
- d = 1.428 Å, 65.4°, I 14.7